Record 1
This entry pairs a crystal structure of POF3 with its calculated PXRD pattern. Radiation: Cu Kα X-rays. Structure: DFT lattice parameters and positions (PBE).
Neutral-atom scattering factors, no anomalous dispersion.

Top 8 peaks for 10° ≤ 2θ ≤ 90°, sorted by position:
(1 0 0), 2θ 18.60, 4.770 Å, intensity 25
(0 1 1), 2θ 23.44, 3.796 Å, intensity 100
(0 0 2), 2θ 28.48, 3.133 Å, intensity 15
(1 1 0), 2θ 32.51, 2.754 Å, intensity 9
(1 1 1), 2θ 35.61, 2.521 Å, intensity 16
(2 0 0), 2θ 37.72, 2.385 Å, intensity 17
(0 2 2), 2θ 47.93, 1.898 Å, intensity 12
(1 2 1), 2θ 52.84, 1.733 Å, intensity 9

Structural model:
a b c (Å): 5.5082 5.5082 6.2670
angles (deg): 90.00 90.00 120.00
Space group P-3m1 (No. 164)
Inequivalent atoms, fractional coordinates:
P1 0.3333 0.6667 0.3130 (multiplicity 2)
O1 0.3333 0.6667 0.5454 (multiplicity 2)
F1 0.1885 0.3769 0.2018 (multiplicity 6)

Record 2
This entry pairs a crystal structure of H2S with its calculated PXRD pattern. Radiation: Cu Kα X-rays. Structure: DFT lattice parameters and positions (PBE).
Neutral-atom scattering factors, no anomalous dispersion.

Top 8 peaks for 10° ≤ 2θ ≤ 90°, sorted by position:
(0 0 2), 2θ 23.86, 3.729 Å, intensity 75
(1 1 0), 2θ 26.25, 3.395 Å, intensity 53
(1 0 1), 2θ 26.49, 3.365 Å, intensity 100
(1 0 -1), 2θ 26.96, 3.307 Å, intensity 97
(1 1 2), 2θ 35.02, 2.562 Å, intensity 19
(1 1 -2), 2θ 36.50, 2.462 Å, intensity 22
(2 1 1), 2θ 46.16, 1.966 Å, intensity 17
(2 0 0), 2θ 48.84, 1.865 Å, intensity 21

Structural model:
a b c (Å): 4.0650 4.0654 7.4640
angles (deg): 88.18 87.99 66.58
Space group P-1 (No. 2)
Inequivalent atoms, fractional coordinates:
H1 0.0728 0.1366 0.3355 (multiplicity 2)
H2 0.1368 0.0726 0.8356 (multiplicity 2)
S1 0.2417 0.7577 0.7499 (multiplicity 2)

Record 3
This entry pairs a crystal structure of Al2Fe5 with its calculated PXRD pattern. Radiation: Cu Kα X-rays. Structure: DFT lattice parameters and positions (PBE).
Neutral-atom scattering factors, no anomalous dispersion.

Top 8 peaks for 10° ≤ 2θ ≤ 90°, sorted by position:
(3 1 0), 2θ 33.63, 2.665 Å, intensity 61
(0 0 1), 2θ 34.82, 2.577 Å, intensity 75
(3 2 0), 2θ 38.52, 2.337 Å, intensity 36
(2 1 1), 2θ 42.50, 2.127 Å, intensity 48
(4 1 0), 2θ 44.32, 2.044 Å, intensity 100
(3 3 0), 2θ 45.67, 1.986 Å, intensity 39
(3 1 1), 2θ 49.19, 1.852 Å, intensity 77
(3 2 1), 2θ 52.89, 1.731 Å, intensity 42

Structural model:
a b c (Å): 8.4276 8.4276 2.5765
angles (deg): 90.00 90.00 90.00
Space group P4/mbm (No. 127)
Inequivalent atoms, fractional coordinates:
Al1 0.1827 0.3173 0.0000 (multiplicity 4)
Fe1 0.0000 0.5000 0.5000 (multiplicity 2)
Fe2 0.0586 0.7931 0.5000 (multiplicity 8)

Record 4
This entry pairs a crystal structure of Ho4Ag3Pt with its calculated PXRD pattern. Radiation: Cu Kα X-rays. Structure: DFT lattice parameters and positions (PBE).
Neutral-atom scattering factors, no anomalous dispersion.

Top 8 peaks for 10° ≤ 2θ ≤ 90°, sorted by position:
(1 0 4), 2θ 35.40, 2.535 Å, intensity 100
(1 1 0), 2θ 35.51, 2.528 Å, intensity 51
(0 0 8), 2θ 50.77, 1.798 Å, intensity 8
(2 0 0), 2θ 51.10, 1.787 Å, intensity 18
(1 1 8), 2θ 63.49, 1.465 Å, intensity 17
(2 1 4), 2θ 63.70, 1.461 Å, intensity 36
(2 0 8), 2θ 74.91, 1.268 Å, intensity 10
(3 1 0), 2θ 85.96, 1.131 Å, intensity 16

Structural model:
a b c (Å): 3.5748 3.5748 14.3854
angles (deg): 90.00 90.00 90.00
Space group P4/mmm (No. 123)
Inequivalent atoms, fractional coordinates:
Ho1 0.0000 0.0000 0.1149 (multiplicity 2)
Ho2 0.0000 0.0000 0.3719 (multiplicity 2)
Ag1 0.5000 0.5000 0.2460 (multiplicity 2)
Ag2 0.5000 0.5000 0.5000 (multiplicity 1)
Pt1 0.5000 0.5000 0.0000 (multiplicity 1)

Record 5
This entry pairs a crystal structure of Zn3Ga2Ag8 with its calculated PXRD pattern. Radiation: Cu Kα X-rays. Structure: DFT lattice parameters and positions (PBE).
Neutral-atom scattering factors, no anomalous dispersion.

Top 8 peaks for 10° ≤ 2θ ≤ 90°, sorted by position:
(1 1 -1), 2θ 25.65, 3.473 Å, intensity 22
(2 0 -2), 2θ 25.79, 3.454 Å, intensity 28
(1 1 1), 2θ 30.19, 2.961 Å, intensity 44
(1 1 -3), 2θ 39.79, 2.265 Å, intensity 100
(3 1 -1), 2θ 40.44, 2.231 Å, intensity 98
(2 0 2), 2θ 41.22, 2.190 Å, intensity 50
(0 2 0), 2θ 45.14, 2.009 Å, intensity 38
(2 2 2), 2θ 62.76, 1.480 Å, intensity 29

Structural model:
a b c (Å): 8.0957 4.0174 8.2667
angles (deg): 90.00 115.25 90.00
Space group P2/m (No. 10)
Inequivalent atoms, fractional coordinates:
Zn1 0.0000 0.0000 0.0000 (multiplicity 1)
Zn2 0.2408 0.5000 0.2385 (multiplicity 2)
Ga1 0.2596 0.0000 0.7349 (multiplicity 2)
Ag1 0.1112 0.0000 0.3822 (multiplicity 2)
Ag2 0.1341 0.5000 0.8681 (multiplicity 2)
Ag3 0.3829 0.0000 0.1062 (multiplicity 2)
Ag4 0.3913 0.5000 0.6039 (multiplicity 2)

Record 6
This entry pairs a crystal structure of Pu2HF with its calculated PXRD pattern. Radiation: Cu Kα X-rays. Structure: DFT lattice parameters and positions (PBE).
Neutral-atom scattering factors, no anomalous dispersion.

Top 8 peaks for 10° ≤ 2θ ≤ 90°, sorted by position:
(0 0 6), 2θ 26.13, 3.411 Å, intensity 47
(0 1 2), 2θ 32.05, 2.793 Å, intensity 100
(1 0 4), 2θ 35.56, 2.525 Å, intensity 87
(0 1 8), 2θ 47.37, 1.919 Å, intensity 31
(1 1 0), 2θ 54.77, 1.676 Å, intensity 28
(1 1 6), 2θ 61.66, 1.504 Å, intensity 28
(2 0 2), 2θ 64.88, 1.437 Å, intensity 14
(0 2 4), 2θ 67.02, 1.396 Å, intensity 14

Structural model:
a b c (Å): 3.3520 3.3520 20.4640
angles (deg): 90.00 90.00 120.00
Space group R-3m (No. 166, hexagonal axes)
Inequivalent atoms, fractional coordinates:
Pu1 0.0000 0.0000 0.2388 (multiplicity 6)
H1 0.0000 0.0000 0.5000 (multiplicity 3)
F1 0.0000 0.0000 0.0000 (multiplicity 3)

Copy entry 4 word for word.
This entry pairs a crystal structure of Ho4Ag3Pt with its calculated PXRD pattern. Radiation: Cu Kα X-rays. Structure: DFT lattice parameters and positions (PBE).
Neutral-atom scattering factors, no anomalous dispersion.

Top 8 peaks for 10° ≤ 2θ ≤ 90°, sorted by position:
(1 0 4), 2θ 35.40, 2.535 Å, intensity 100
(1 1 0), 2θ 35.51, 2.528 Å, intensity 51
(0 0 8), 2θ 50.77, 1.798 Å, intensity 8
(2 0 0), 2θ 51.10, 1.787 Å, intensity 18
(1 1 8), 2θ 63.49, 1.465 Å, intensity 17
(2 1 4), 2θ 63.70, 1.461 Å, intensity 36
(2 0 8), 2θ 74.91, 1.268 Å, intensity 10
(3 1 0), 2θ 85.96, 1.131 Å, intensity 16

Structural model:
a b c (Å): 3.5748 3.5748 14.3854
angles (deg): 90.00 90.00 90.00
Space group P4/mmm (No. 123)
Inequivalent atoms, fractional coordinates:
Ho1 0.0000 0.0000 0.1149 (multiplicity 2)
Ho2 0.0000 0.0000 0.3719 (multiplicity 2)
Ag1 0.5000 0.5000 0.2460 (multiplicity 2)
Ag2 0.5000 0.5000 0.5000 (multiplicity 1)
Pt1 0.5000 0.5000 0.0000 (multiplicity 1)

Repeat the fourth record exactly.
This entry pairs a crystal structure of Ho4Ag3Pt with its calculated PXRD pattern. Radiation: Cu Kα X-rays. Structure: DFT lattice parameters and positions (PBE).
Neutral-atom scattering factors, no anomalous dispersion.

Top 8 peaks for 10° ≤ 2θ ≤ 90°, sorted by position:
(1 0 4), 2θ 35.40, 2.535 Å, intensity 100
(1 1 0), 2θ 35.51, 2.528 Å, intensity 51
(0 0 8), 2θ 50.77, 1.798 Å, intensity 8
(2 0 0), 2θ 51.10, 1.787 Å, intensity 18
(1 1 8), 2θ 63.49, 1.465 Å, intensity 17
(2 1 4), 2θ 63.70, 1.461 Å, intensity 36
(2 0 8), 2θ 74.91, 1.268 Å, intensity 10
(3 1 0), 2θ 85.96, 1.131 Å, intensity 16

Structural model:
a b c (Å): 3.5748 3.5748 14.3854
angles (deg): 90.00 90.00 90.00
Space group P4/mmm (No. 123)
Inequivalent atoms, fractional coordinates:
Ho1 0.0000 0.0000 0.1149 (multiplicity 2)
Ho2 0.0000 0.0000 0.3719 (multiplicity 2)
Ag1 0.5000 0.5000 0.2460 (multiplicity 2)
Ag2 0.5000 0.5000 0.5000 (multiplicity 1)
Pt1 0.5000 0.5000 0.0000 (multiplicity 1)

- Number 5 is which compound?
  Zn3Ga2Ag8